No. 1
# CuPt
Computed powder X-ray diffraction pattern, λ = 1.5418 Å (Cu Kα). Input: a crystal structure in Alexandria, relaxed with PBE.
Kinematic intensities with the Lorentz-polarization factor, no thermal factor.

```
data_CuPt
_chemical_formula_sum 'Cu12 Pt12'
_space_group_name_H-M_alt 'C m m 2'
_space_group_IT_number 35
_space_group_name_Hall 'C 2 -2'
_cell_length_a 5.4382
_cell_length_b 7.6210
_cell_length_c 8.1448
_cell_angle_alpha 90.00
_cell_angle_beta 90.00
_cell_angle_gamma 90.00
loop_
_atom_site_label
_atom_site_type_symbol
_atom_site_fract_x
_atom_site_fract_y
_atom_site_fract_z
Cu1 Cu 0.0000 0.0000 0.0000
Cu2 Cu 0.0000 0.0000 0.3185
Cu3 Cu 0.2500 0.2500 0.1628
Cu4 Cu 0.2500 0.2500 0.4834
Pt1 Pt 0.0000 0.0000 0.6397
Pt2 Pt 0.0000 0.5000 0.9998
Pt3 Pt 0.0000 0.5000 0.3237
Pt4 Pt 0.0000 0.5000 0.6528
Pt5 Pt 0.2500 0.2500 0.8315
```

Main lines, low angle first (15° ≤ 2θ ≤ 90°):
| two_theta | d_spacing | I (rel.) |
| --- | --- | --- |
| 20.1 | 4.427 | 7 |
| 32.2 | 2.782 | 7 |
| 40.8 | 2.212 | 100 |
| 47.3 | 1.921 | 32 |
| 47.7 | 1.905 | 16 |
| 69.5 | 1.353 | 20 |
| 83.5 | 1.158 | 23 |
| 84.1 | 1.151 | 12 |

No. 2
# ZnAuC
Computed powder X-ray diffraction pattern, λ = 1.5418 Å (Cu Kα). Input: a crystal structure in Alexandria, relaxed with PBE.
Kinematic intensities with the Lorentz-polarization factor, no thermal factor.

```
data_ZnAuC
_chemical_formula_sum 'Zn2 Au2 C2'
_space_group_name_H-M_alt 'P 1'
_space_group_IT_number 1
_space_group_name_Hall 'P 1'
_cell_length_a 3.4165
_cell_length_b 4.7678
_cell_length_c 6.8666
_cell_angle_alpha 94.43
_cell_angle_beta 104.16
_cell_angle_gamma 110.95
loop_
_atom_site_label
_atom_site_type_symbol
_atom_site_fract_x
_atom_site_fract_y
_atom_site_fract_z
Zn1 Zn 0.0000 0.0000 0.0000
Zn2 Zn 0.1573 0.6388 0.6785
Au1 Au 0.3879 0.3908 0.3820
Au2 Au 0.8138 0.0391 0.5889
C1 C 0.2809 0.4774 0.0824
C2 C 0.3664 0.7251 0.0078
```

Main lines, low angle first (15° ≤ 2θ ≤ 90°):
| two_theta | d_spacing | I (rel.) |
| --- | --- | --- |
| 26.5 | 3.367 | 51 |
| 28.4 | 3.141 | 100 |
| 33.7 | 2.661 | 45 |
| 33.8 | 2.652 | 45 |
| 37.2 | 2.419 | 47 |
| 40.3 | 2.240 | 52 |
| 42.2 | 2.142 | 42 |
| 42.3 | 2.137 | 41 |

No. 3
# Er4Mg5Tl
Computed powder X-ray diffraction pattern, λ = 1.5418 Å (Cu Kα). Input: a crystal structure in Alexandria, relaxed with PBE.
Kinematic intensities with the Lorentz-polarization factor, no thermal factor.

```
data_Er4Mg5Tl
_chemical_formula_sum 'Er8 Mg10 Tl2'
_space_group_name_H-M_alt 'C 1 2/m 1'
_space_group_IT_number 12
_space_group_name_Hall '-C 2y'
_cell_length_a 15.6335
_cell_length_b 5.2423
_cell_length_c 6.5272
_cell_angle_alpha 90.00
_cell_angle_beta 105.22
_cell_angle_gamma 90.00
loop_
_atom_site_label
_atom_site_type_symbol
_atom_site_fract_x
_atom_site_fract_y
_atom_site_fract_z
Er1 Er 0.0997 0.0000 0.3974
Er2 Er 0.1964 0.5000 0.8048
Mg1 Mg 0.0000 0.5000 0.0000
Mg2 Mg 0.0989 0.0000 0.9162
Mg3 Mg 0.2001 0.5000 0.2983
Tl1 Tl 0.0000 0.5000 0.5000
```

Main lines, low angle first (15° ≤ 2θ ≤ 90°):
| two_theta | d_spacing | I (rel.) |
| --- | --- | --- |
| 15.8 | 5.614 | 22 |
| 21.9 | 4.067 | 20 |
| 23.8 | 3.739 | 25 |
| 33.6 | 2.668 | 35 |
| 34.0 | 2.639 | 73 |
| 34.3 | 2.617 | 100 |
| 48.7 | 1.870 | 27 |
| 60.7 | 1.526 | 19 |

No. 4
# Tb4PmRh2
Computed powder X-ray diffraction pattern, λ = 1.5418 Å (Cu Kα). Input: a crystal structure in Alexandria, relaxed with PBE.
Kinematic intensities with the Lorentz-polarization factor, no thermal factor.

```
data_Tb4PmRh2
_chemical_formula_sum 'Tb8 Pm2 Rh4'
_space_group_name_H-M_alt 'P 1 21/m 1'
_space_group_IT_number 11
_space_group_name_Hall '-P 2yb'
_cell_length_a 7.8675
_cell_length_b 6.4898
_cell_length_c 7.8991
_cell_angle_alpha 90.00
_cell_angle_beta 112.95
_cell_angle_gamma 90.00
loop_
_atom_site_label
_atom_site_type_symbol
_atom_site_fract_x
_atom_site_fract_y
_atom_site_fract_z
Tb1 Tb 0.1169 0.2500 0.4842
Tb2 Tb 0.1628 0.7500 0.2489
Tb3 Tb 0.2603 0.5031 0.9098
Pm1 Pm 0.4747 0.2500 0.3433
Rh1 Rh 0.0895 0.2500 0.1279
Rh2 Rh 0.4913 0.2500 0.7613
```

Main lines, low angle first (15° ≤ 2θ ≤ 90°):
| two_theta | d_spacing | I (rel.) |
| --- | --- | --- |
| 30.2 | 2.963 | 73 |
| 30.5 | 2.932 | 71 |
| 30.7 | 2.910 | 63 |
| 31.6 | 2.834 | 88 |
| 34.1 | 2.628 | 64 |
| 34.5 | 2.600 | 84 |
| 35.9 | 2.498 | 100 |
| 37.2 | 2.416 | 90 |

No. 5
# In14Ga2Hg9
Computed powder X-ray diffraction pattern, λ = 1.5418 Å (Cu Kα). Input: a crystal structure in Alexandria, relaxed with PBE.
Kinematic intensities with the Lorentz-polarization factor, no thermal factor.

```
data_In14Ga2Hg9
_chemical_formula_sum 'In14 Ga2 Hg9'
_space_group_name_H-M_alt 'P -1'
_space_group_IT_number 2
_space_group_name_Hall '-P 1'
_cell_length_a 7.1348
_cell_length_b 7.5771
_cell_length_c 12.5509
_cell_angle_alpha 94.45
_cell_angle_beta 97.35
_cell_angle_gamma 91.64
loop_
_atom_site_label
_atom_site_type_symbol
_atom_site_fract_x
_atom_site_fract_y
_atom_site_fract_z
In1 In 0.0506 0.3693 0.3900
In2 In 0.0813 0.4763 0.8908
In3 In 0.1916 0.9008 0.9868
In4 In 0.2058 0.2210 0.1756
In5 In 0.2966 0.2873 0.6296
In6 In 0.3736 0.0453 0.3896
In7 In 0.4366 0.3018 0.9901
Ga1 Ga 0.4451 0.0285 0.8126
Hg1 Hg 0.0000 0.0000 0.5000
Hg2 Hg 0.0285 0.1017 0.7646
Hg3 Hg 0.3208 0.6356 0.2180
Hg4 Hg 0.3311 0.6650 0.4871
Hg5 Hg 0.3397 0.6649 0.7499
```

Main lines, low angle first (15° ≤ 2θ ≤ 90°):
| two_theta | d_spacing | I (rel.) |
| --- | --- | --- |
| 26.3 | 3.385 | 46 |
| 31.5 | 2.839 | 100 |
| 32.2 | 2.784 | 75 |
| 33.6 | 2.668 | 54 |
| 35.1 | 2.556 | 43 |
| 35.5 | 2.532 | 44 |
| 36.1 | 2.485 | 71 |
| 37.9 | 2.372 | 46 |

No. 6
# Ho2Ga4Fe13C2
Computed powder X-ray diffraction pattern, λ = 1.5418 Å (Cu Kα). Input: a crystal structure in Alexandria, relaxed with PBE.
Kinematic intensities with the Lorentz-polarization factor, no thermal factor.

```
data_Ho2Ga4Fe13C2
_chemical_formula_sum 'Ho2 Ga4 Fe13 C2'
_space_group_name_H-M_alt 'P 1'
_space_group_IT_number 1
_space_group_name_Hall 'P 1'
_cell_length_a 6.5087
_cell_length_b 6.5223
_cell_length_c 6.6156
_cell_angle_alpha 83.16
_cell_angle_beta 82.37
_cell_angle_gamma 82.28
loop_
_atom_site_label
_atom_site_type_symbol
_atom_site_fract_x
_atom_site_fract_y
_atom_site_fract_z
Ho1 Ho 0.0000 0.0000 0.0000
Ho2 Ho 0.3313 0.3263 0.3297
Ga1 Ga 0.3137 0.3225 0.8009
Ga2 Ga 0.3259 0.8144 0.3366
Ga3 Ga 0.5169 0.9913 0.9916
Ga4 Ga 0.8398 0.3254 0.3299
Fe1 Fe 0.0054 0.5201 0.0017
Fe2 Fe 0.0111 0.0073 0.5328
Fe3 Fe 0.1598 0.6689 0.6703
Fe4 Fe 0.3785 0.6560 0.9536
Fe5 Fe 0.3788 0.9492 0.6640
Fe6 Fe 0.5718 0.5702 0.5734
Fe7 Fe 0.6657 0.3746 0.9526
Fe8 Fe 0.6707 0.1668 0.6635
Fe9 Fe 0.6711 0.6591 0.1643
Fe10 Fe 0.6752 0.9531 0.3803
Fe11 Fe 0.7626 0.7583 0.7555
Fe12 Fe 0.9491 0.3796 0.6697
Fe13 Fe 0.9575 0.6713 0.3793
C1 C 0.1574 0.6513 0.1570
C2 C 0.6630 0.1645 0.1659
```

Main lines, low angle first (15° ≤ 2θ ≤ 90°):
| two_theta | d_spacing | I (rel.) |
| --- | --- | --- |
| 29.6 | 3.019 | 43 |
| 41.4 | 2.180 | 44 |
| 41.5 | 2.174 | 33 |
| 41.8 | 2.160 | 72 |
| 42.0 | 2.154 | 30 |
| 42.2 | 2.142 | 100 |
| 42.3 | 2.135 | 31 |
| 42.7 | 2.120 | 72 |

No. 7
# Sr2Tl4InHg2
Computed powder X-ray diffraction pattern, λ = 1.5418 Å (Cu Kα). Input: a crystal structure in Alexandria, relaxed with PBE.
Kinematic intensities with the Lorentz-polarization factor, no thermal factor.

```
data_Sr2Tl4InHg2
_chemical_formula_sum 'Sr2 Tl4 In1 Hg2'
_space_group_name_H-M_alt 'P -1'
_space_group_IT_number 2
_space_group_name_Hall '-P 1'
_cell_length_a 6.6859
_cell_length_b 6.7496
_cell_length_c 7.8563
_cell_angle_alpha 65.23
_cell_angle_beta 70.57
_cell_angle_gamma 61.33
loop_
_atom_site_label
_atom_site_type_symbol
_atom_site_fract_x
_atom_site_fract_y
_atom_site_fract_z
Sr1 Sr 0.2000 0.2349 0.3438
Tl1 Tl 0.2716 0.6725 0.8693
Tl2 Tl 0.2781 0.1775 0.8634
In1 In 0.5000 0.5000 0.5000
Hg1 Hg 0.1513 0.8095 0.2446
```

Main lines, low angle first (15° ≤ 2θ ≤ 90°):
| two_theta | d_spacing | I (rel.) |
| --- | --- | --- |
| 29.4 | 3.033 | 30 |
| 30.9 | 2.895 | 52 |
| 31.4 | 2.846 | 65 |
| 31.9 | 2.808 | 100 |
| 32.7 | 2.740 | 35 |
| 34.0 | 2.636 | 63 |
| 34.5 | 2.597 | 54 |
| 38.0 | 2.368 | 31 |

No. 8
# CeDy2Ho5Er
Computed powder X-ray diffraction pattern, λ = 1.5418 Å (Cu Kα). Input: a crystal structure in Alexandria, relaxed with PBE.
Kinematic intensities with the Lorentz-polarization factor, no thermal factor.

```
data_CeDy2Ho5Er
_chemical_formula_sum 'Ce4 Dy8 Ho20 Er4'
_space_group_name_H-M_alt 'C m c 21'
_space_group_IT_number 36
_space_group_name_Hall 'C 2c -2'
_cell_length_a 5.6584
_cell_length_b 21.4070
_cell_length_c 9.4895
_cell_angle_alpha 90.00
_cell_angle_beta 90.00
_cell_angle_gamma 90.00
loop_
_atom_site_label
_atom_site_type_symbol
_atom_site_fract_x
_atom_site_fract_y
_atom_site_fract_z
Ce1 Ce 0.0000 0.1909 0.0000
Dy1 Dy 0.0000 0.1137 0.3026
Dy2 Dy 0.0000 0.1333 0.6878
Ho1 Ho 0.0000 0.0139 0.9925
Ho2 Ho 0.0000 0.2671 0.3125
Ho3 Ho 0.0000 0.3063 0.6944
Ho4 Ho 0.0000 0.3948 0.0256
Ho5 Ho 0.0000 0.4712 0.7277
Er1 Er 0.0000 0.4030 0.4091
```

Main lines, low angle first (15° ≤ 2θ ≤ 90°):
| two_theta | d_spacing | I (rel.) |
| --- | --- | --- |
| 26.7 | 3.340 | 23 |
| 31.6 | 2.829 | 59 |
| 32.3 | 2.771 | 100 |
| 32.7 | 2.738 | 60 |
| 34.7 | 2.588 | 35 |
| 41.8 | 2.159 | 14 |
| 56.8 | 1.622 | 25 |
| 64.7 | 1.442 | 14 |